No. 1
The following is a theoretical XRD peak list of NdH3C2SO5. It was derived from a DFT-relaxed cell (PBE, OQMD), using λ = 1.5418 Å (Cu Kα).
No peak broadening, texture or thermal motion is included.

Structure:
a b c (Å): 8.9144 7.8002 8.2101
angles (deg): 90.00 94.86 90.00
Space group P2_1/c (No. 14)
Asymmetric unit:
Nd: 0.0655 0.2494 0.0028 x4
H: 0.3702 0.5722 0.6825 x4
H: 0.4783 0.1148 0.1622 x4
H: 0.4825 0.0194 0.6608 x4
C: 0.3190 0.1346 0.3355 x4
C: 0.4294 0.0314 0.2516 x4
S: 0.1951 0.6262 0.2692 x4
O: 0.1060 0.7041 0.7633 x4
O: 0.1220 0.5347 0.1137 x4
O: 0.1303 0.5348 0.4166 x4
O: 0.1886 0.1681 0.2574 x4
O: 0.3437 0.1900 0.4795 x4

The 12 most intense peaks (10° ≤ 2θ ≤ 90°), by angle:
hkl, 2theta, I/Imax
1 1 0, 15.1, 59.0
0 2 0, 22.8, 68.8
1 0 2, 24.7, 64.4
1 2 0, 24.9, 100.0
1 1 2, 27.3, 43.6
2 1 -2, 30.7, 39.3
0 2 2, 31.7, 57.4
3 1 0, 32.3, 47.8
2 1 2, 33.1, 44.4
3 1 -2, 37.8, 50.7
4 1 0, 42.3, 37.7
1 2 -4, 50.7, 46.6



No. 2
The following is a theoretical XRD peak list of Zn2PH2CO7. It was derived from a DFT-relaxed cell (PBE, OQMD), using λ = 1.5418 Å (Cu Kα).
No peak broadening, texture or thermal motion is included.

Structure:
a b c (Å): 7.7851 4.7629 15.2736
angles (deg): 90.00 114.50 90.00
Space group P2_1/c (No. 14)
Asymmetric unit:
Zn: 0.0751 0.0179 0.3701 x4
Zn: 0.3917 0.5297 0.3042 x4
P: 0.1902 0.5238 0.6926 x4
H: 0.1329 0.7427 0.5290 x4
H: 0.2919 0.5205 0.0404 x4
C: 0.4335 0.1247 0.9930 x4
O: 0.0359 0.6377 0.5978 x4
O: 0.1545 0.6580 0.7770 x4
O: 0.1880 0.1996 0.6925 x4
O: 0.2093 0.6682 0.9967 x4
O: 0.3346 0.2011 0.9070 x4
O: 0.3865 0.6434 0.7085 x4
O: 0.4334 0.2385 0.0676 x4

The 12 most intense peaks (10° ≤ 2θ ≤ 90°), by angle:
hkl, 2theta, I/Imax
0 0 2, 12.7, 100.0
1 1 -1, 21.9, 24.0
1 0 -4, 23.4, 33.2
1 1 1, 24.8, 58.3
1 1 -3, 26.0, 75.2
2 0 -4, 27.5, 53.4
2 1 -1, 29.9, 73.2
1 0 4, 33.1, 30.7
2 1 1, 34.2, 66.6
0 1 5, 37.5, 41.7
3 1 -7, 50.0, 25.6
3 2 -2, 52.2, 24.8